(1)
The following is a simulated X-ray diffraction stick pattern of HoIr2O8. It was derived from the GGA-PBE geometry in Alexandria, using Cu Kα (weighted mean of Kα1 and Kα2).

Crystal structure
```
data_HoIr2O8
_cell_length_a 5.337
_cell_length_b 3.899
_cell_length_c 6.168
_cell_angle_alpha 90.00
_cell_angle_beta 103.26
_cell_angle_gamma 90.00
_symmetry_space_group_name_H-M 'P 1 2/m 1'
_symmetry_Int_Tables_number 10
loop_
_symmetry_equiv_pos_as_xyz
'x,y,z'
'-x,-y,-z'
'-x,y,-z'
'x,-y,z'
loop_
_atom_site_label
_atom_site_type_symbol
_atom_site_fract_x
_atom_site_fract_y
_atom_site_fract_z
Ho1 Ho 0.000 0.000 0.000
Ir1 Ir 0.497 0.500 0.747
O1 O 0.045 0.000 0.413
O2 O 0.233 0.500 0.945
O3 O 0.271 0.500 0.453
O4 O 0.438 0.000 0.204
```

The 12 most intense peaks (2θ = 5–70°), sorted by position:
- hkl 0 0 1, 14.76 deg, intensity 15
- hkl 1 0 0, 17.07 deg, intensity 27
- hkl 1 1 0, 28.63 deg, intensity 100
- hkl 1 0 -2, 30.80 deg, intensity 41
- hkl 2 0 0, 34.53 deg, intensity 29
- hkl 1 0 2, 37.86 deg, intensity 68
- hkl 0 2 0, 46.59 deg, intensity 20
- hkl 2 1 -2, 46.87 deg, intensity 28
- hkl 1 2 -2, 56.90 deg, intensity 17
- hkl 2 1 2, 57.06 deg, intensity 18
- hkl 3 1 0, 58.31 deg, intensity 14
- hkl 1 2 2, 61.56 deg, intensity 15



(2)
The following is a simulated X-ray diffraction stick pattern of Sr3Mg2TcO8. It was derived from the GGA-PBE geometry in Alexandria, using Cu Kα (weighted mean of Kα1 and Kα2).

Crystal structure
```
data_Sr3Mg2TcO8
_cell_length_a 5.6067
_cell_length_b 5.6067
_cell_length_c 7.3359
_cell_angle_alpha 90.00
_cell_angle_beta 90.00
_cell_angle_gamma 120.00
_symmetry_space_group_name_H-M 'P -3 m 1'
_symmetry_Int_Tables_number 164
_symmetry_space_group_name_Hall '-P 3 2"'
loop_
_atom_site_label
_atom_site_type_symbol
_atom_site_fract_x
_atom_site_fract_y
_atom_site_fract_z
Sr1 Sr 0.0000 0.0000 0.0000
Sr2 Sr 0.3333 0.6667 0.6366
Mg1 Mg 0.3333 0.6667 0.1971
Tc1 Tc 0.0000 0.0000 0.5000
O1 O 0.1604 0.3207 0.3426
O2 O 0.3333 0.6667 0.9430
```

The 12 most intense peaks (2θ = 5–70°), sorted by position:
- hkl 0 0 1, 12.06 deg, intensity 37
- hkl 1 0 0, 18.27 deg, intensity 15
- hkl 0 1 2, 30.54 deg, intensity 75
- hkl 1 1 0, 31.92 deg, intensity 100
- hkl 0 2 1, 39.08 deg, intensity 17
- hkl 1 1 2, 40.50 deg, intensity 15
- hkl 2 0 2, 44.77 deg, intensity 47
- hkl 1 0 4, 53.40 deg, intensity 19
- hkl 1 2 2, 56.03 deg, intensity 28
- hkl 3 0 0, 56.89 deg, intensity 19
- hkl 0 2 4, 63.58 deg, intensity 17
- hkl 2 2 0, 66.73 deg, intensity 18



(3)
The following is a simulated X-ray diffraction stick pattern of Sm2Be15Co2. It was derived from the GGA-PBE geometry in Alexandria, using Cu Kα (weighted mean of Kα1 and Kα2).

Crystal structure
```
data_Sm2Be15Co2
_cell_length_a 7.8757
_cell_length_b 7.8757
_cell_length_c 11.3985
_cell_angle_alpha 90.00
_cell_angle_beta 90.00
_cell_angle_gamma 120.00
_symmetry_space_group_name_H-M 'R -3 m'
_symmetry_Int_Tables_number 166
_symmetry_space_group_name_Hall '-R 3 2"'
loop_
_atom_site_label
_atom_site_type_symbol
_atom_site_fract_x
_atom_site_fract_y
_atom_site_fract_z
Sm1 Sm 0.0000 0.0000 0.1568
Be1 Be 0.0000 0.2705 0.5000
Be2 Be 0.0000 0.5000 0.0000
Be3 Be 0.0162 0.5081 0.3384
Co1 Co 0.0000 0.0000 0.3997
```

The 12 most intense peaks (2θ = 5–70°), sorted by position:
- hkl 1 1 0, 22.58 deg, intensity 100
- hkl 0 0 3, 23.41 deg, intensity 11
- hkl 1 1 3, 32.75 deg, intensity 35
- hkl 1 0 4, 34.10 deg, intensity 21
- hkl 3 0 0, 39.64 deg, intensity 28
- hkl 0 2 4, 41.29 deg, intensity 14
- hkl 2 2 0, 46.10 deg, intensity 21
- hkl 3 0 3, 46.55 deg, intensity 17
- hkl 2 1 4, 47.56 deg, intensity 18
- hkl 1 3 4, 58.57 deg, intensity 9
- hkl 4 1 0, 62.39 deg, intensity 13
- hkl 1 4 3, 67.60 deg, intensity 10